Record 1
Theoretical powder diffraction line list
Compound: Be11Mo3
Radiation: Cu Kα
Structure: DFT lattice parameters and positions (PBE)
Intensities are scaled so that the largest is 100.

Structural model:
```
14
Lattice="-1.692 3.918 4.992 1.692 -3.918 4.992 1.692 3.918 -4.992" Properties=species:S:1:pos:R:3 pbc="T T T"
Be 0.000 0.000 0.000
Be 1.692 -2.149 3.640
Be 1.692 2.899 -1.642
Be 1.692 1.704 0.000
Be 0.000 1.769 1.352
Be 0.000 1.020 3.350
Be 1.692 2.899 1.642
Be 1.692 2.149 3.640
Be 0.000 2.214 4.992
Be 0.000 1.020 6.634
Be 0.000 6.068 1.352
Mo 1.692 0.000 1.841
Mo 0.000 3.918 0.000
Mo 0.000 3.918 3.151
```

Principal peaks in the range 2θ from 10° to 80°, by angle:
| 2θ (°) | intensity |
| --- | --- |
| 22.69 | 85 |
| 28.74 | 100 |
| 29.15 | 90 |
| 37.92 | 51 |
| 43.78 | 41 |
| 44.07 | 36 |
| 44.65 | 81 |
| 72.35 | 20 |



Record 2
Theoretical powder diffraction line list
Compound: Be12Mo
Radiation: Cu Kα
Structure: DFT lattice parameters and positions (PBE)
Intensities are scaled so that the largest is 100.

Structural model:
```
13
Lattice="-3.604 3.604 2.108 3.604 -3.604 2.108 3.604 3.604 -2.108" Properties=species:S:1:pos:R:3 pbc="T T T"
Be 1.802 1.802 -1.054
Be 1.524 0.000 0.000
Be 1.802 -1.802 1.054
Be 5.684 0.000 0.000
Be 3.604 1.074 0.000
Be 0.000 1.524 0.000
Be -1.802 1.802 1.054
Be 1.074 3.604 0.000
Be 1.802 1.802 1.054
Be 2.530 0.000 2.108
Be 0.000 5.684 0.000
Be 0.000 2.530 2.108
Mo 0.000 0.000 2.108
```

Principal peaks in the range 2θ from 10° to 80°, by angle:
| 2θ (°) | intensity |
| --- | --- |
| 17.40 | 100 |
| 24.46 | 87 |
| 24.70 | 38 |
| 35.04 | 81 |
| 39.53 | 30 |
| 43.34 | 33 |
| 50.14 | 27 |
| 50.52 | 47 |



Record 3
Theoretical powder diffraction line list
Compound: Be6Mo
Radiation: Cu Kα
Structure: DFT lattice parameters and positions (PBE)
Intensities are scaled so that the largest is 100.

Structural model:
```
28
Lattice="6.763 0.000 0.000 0.000 4.280 0.000 0.000 0.000 8.631" Properties=species:S:1:pos:R:3 pbc="T T T"
Be 0.404 0.043 1.606
Be 0.404 2.098 1.606
Be 0.404 3.210 3.451
Be 0.649 1.070 8.444
Be 1.001 3.210 5.573
Be 1.328 1.070 6.489
Be 2.053 3.210 2.174
Be 2.381 1.070 1.258
Be 2.732 3.210 4.129
Be 2.978 1.070 7.767
Be 2.978 2.183 5.921
Be 2.978 4.238 5.921
Be 3.785 0.043 2.710
Be 3.785 2.098 2.710
Be 3.785 3.210 0.864
Be 4.031 1.070 4.502
Be 4.382 3.210 7.373
Be 4.710 1.070 6.457
Be 5.435 3.210 2.142
Be 5.763 1.070 3.058
Be 6.114 3.210 0.187
Be 6.359 1.070 5.180
Be 6.360 2.183 7.025
Be 6.360 4.238 7.025
Mo 1.555 1.070 3.743
Mo 1.827 3.210 8.059
Mo 4.936 1.070 0.572
Mo 5.208 3.210 4.888
```

Principal peaks in the range 2θ from 10° to 80°, by angle:
| 2θ (°) | intensity |
| --- | --- |
| 20.58 | 23 |
| 24.47 | 44 |
| 26.36 | 29 |
| 26.72 | 100 |
| 37.67 | 27 |
| 44.05 | 22 |
| 46.56 | 33 |
| 46.74 | 29 |



Record 4
Theoretical powder diffraction line list
Compound: Be2MoN
Radiation: Cu Kα
Structure: DFT lattice parameters and positions (PBE)
Intensities are scaled so that the largest is 100.

Structural model:
```
16
Lattice="5.768 0.000 0.000 0.000 5.768 0.000 0.000 0.000 4.469" Properties=species:S:1:pos:R:3 pbc="T T T"
Be 0.834 1.442 0.559
Be 1.442 3.718 1.676
Be 1.442 4.933 3.910
Be 2.049 1.442 2.793
Be 3.718 4.326 2.793
Be 4.326 0.834 3.910
Be 4.326 2.049 1.676
Be 4.933 4.326 0.559
Mo 0.000 0.000 2.235
Mo 0.000 2.884 3.352
Mo 2.884 0.000 1.117
Mo 2.884 2.884 0.000
N 0.000 0.000 0.000
N 0.000 2.884 1.117
N 2.884 0.000 3.352
N 2.884 2.884 2.235
```

Principal peaks in the range 2θ from 10° to 80°, by angle:
| 2θ (°) | intensity |
| --- | --- |
| 25.21 | 94 |
| 31.01 | 100 |
| 40.37 | 72 |
| 44.43 | 42 |
| 46.33 | 71 |
| 64.63 | 21 |
| 66.13 | 46 |
| 73.41 | 28 |



Record 5
Theoretical powder diffraction line list
Compound: BeMo2N
Radiation: Cu Kα
Structure: DFT lattice parameters and positions (PBE)
Intensities are scaled so that the largest is 100.

Structural model:
```
16
Lattice="5.611 0.000 0.000 0.000 5.611 0.000 0.000 0.000 5.611" Properties=species:S:1:pos:R:3 pbc="T T T"
Be 0.000 0.000 0.000
Be 0.000 2.806 2.806
Be 2.806 0.000 2.806
Be 2.806 2.806 0.000
Mo 1.403 1.403 1.403
Mo 1.403 1.403 4.209
Mo 1.403 4.209 1.403
Mo 1.403 4.209 4.209
Mo 4.209 1.403 1.403
Mo 4.209 1.403 4.209
Mo 4.209 4.209 1.403
Mo 4.209 4.209 4.209
N 0.000 0.000 2.806
N 0.000 2.806 0.000
N 2.806 0.000 0.000
N 2.806 2.806 2.806
```

Principal peaks in the range 2θ from 10° to 80°, by angle:
| 2θ (°) | intensity |
| --- | --- |
| 31.90 | 95 |
| 45.73 | 100 |
| 56.84 | 24 |
| 66.67 | 15 |
| 75.82 | 31 |



Record 6
Theoretical powder diffraction line list
Compound: BeZn2MoN4
Radiation: Cu Kα
Structure: DFT lattice parameters and positions (PBE)
Intensities are scaled so that the largest is 100.

Structural model:
```
16
Lattice="6.264 0.000 0.000 0.000 5.556 0.000 0.000 0.000 5.163" Properties=species:S:1:pos:R:3 pbc="T T T"
Be 0.000 0.942 0.000
Be 3.132 4.613 2.581
Zn 1.559 3.712 0.012
Zn 1.573 1.844 2.593
Zn 4.691 1.844 2.593
Zn 4.705 3.712 0.012
Mo 0.000 4.685 2.574
Mo 3.132 0.871 5.155
N 0.000 0.815 1.775
N 0.000 4.862 4.432
N 1.515 1.752 4.647
N 1.617 3.804 2.066
N 3.132 0.694 1.851
N 3.132 4.741 4.356
N 4.647 3.804 2.066
N 4.749 1.752 4.647
```

Principal peaks in the range 2θ from 10° to 80°, by angle:
| 2θ (°) | intensity |
| --- | --- |
| 21.38 | 34 |
| 22.32 | 44 |
| 32.83 | 52 |
| 34.75 | 58 |
| 36.74 | 56 |
| 37.28 | 100 |
| 57.84 | 32 |
| 63.96 | 31 |